# 1
Li7Mn2Co3O12: theoretical XRD peak list (Cu Kα (weighted mean of Kα1 and Kα2)), based on the PBE+U geometry in the Materials Project.

Main lines, in order of rising 2θ (2θ = 10–90°):
- 2θ 18.42, I 100
- 2θ 35.26, I 14
- 2θ 42.34, I 30
- 2θ 44.29, I 27
- 2θ 44.40, I 26
- 2θ 62.75, I 15

a b c (Å): 5.1383 5.9302 7.7453
angles (deg): 77.07 75.62 71.25
Space group P1 (No. 1)
Unique sites:
Li1 0.0000 0.0000 0.0000 (multiplicity 1)
Li2 0.0032 0.3324 0.6695 (multiplicity 1)
Li3 0.4835 0.1641 0.8395 (multiplicity 1)
Li4 0.4954 0.4923 0.4945 (multiplicity 1)
Li5 0.5074 0.8207 0.1560 (multiplicity 1)
Li6 0.9893 0.6469 0.3164 (multiplicity 1)
Li7 0.9974 0.4921 0.9968 (multiplicity 1)
Mn1 0.4959 0.9951 0.4941 (multiplicity 1)
Mn2 0.4970 0.6580 0.8298 (multiplicity 1)
Co1 0.4975 0.3279 0.1595 (multiplicity 1)
Co2 0.9960 0.1608 0.3266 (multiplicity 1)
Co3 0.9964 0.8241 0.6659 (multiplicity 1)
O1 0.2414 0.8584 0.4308 (multiplicity 1)
O2 0.2465 0.1697 0.1032 (multiplicity 1)
O3 0.2502 0.5304 0.7483 (multiplicity 1)
O4 0.2625 0.3091 0.4204 (multiplicity 1)
O5 0.2725 0.9834 0.7396 (multiplicity 1)
O6 0.2737 0.6619 0.0659 (multiplicity 1)
O7 0.7202 0.3416 0.9055 (multiplicity 1)
O8 0.7204 0.6740 0.5833 (multiplicity 1)
O9 0.7296 0.9848 0.2597 (multiplicity 1)
O10 0.7425 0.8103 0.8878 (multiplicity 1)
O11 0.7467 0.4567 0.2460 (multiplicity 1)
O12 0.7507 0.1266 0.5619 (multiplicity 1)



# 2
Li7Mn2Co3O12: theoretical XRD peak list (Cu Kα (weighted mean of Kα1 and Kα2)), based on the PBE+U geometry in the Materials Project.

Main lines, in order of rising 2θ (2θ = 10–90°):
- 2θ 18.30, I 100
- 2θ 35.51, I 16
- 2θ 42.85, I 30
- 2θ 43.64, I 28
- 2θ 44.35, I 26
- 2θ 63.25, I 22

a b c (Å): 5.0354 5.8772 7.8515
angles (deg): 78.21 78.52 72.51
Space group P1 (No. 1)
Unique sites:
Li1 0.0000 0.0000 0.0000 (multiplicity 1)
Li2 0.0011 0.3338 0.6725 (multiplicity 1)
Li3 0.0056 0.6577 0.3232 (multiplicity 1)
Li4 0.0074 0.4976 0.9984 (multiplicity 1)
Li5 0.4917 0.1673 0.8423 (multiplicity 1)
Li6 0.4957 0.4945 0.5028 (multiplicity 1)
Li7 0.5103 0.8275 0.1587 (multiplicity 1)
Mn1 0.4936 0.0005 0.5012 (multiplicity 1)
Mn2 0.9989 0.8260 0.6721 (multiplicity 1)
Co1 0.4936 0.3352 0.1659 (multiplicity 1)
Co2 0.5172 0.6375 0.8480 (multiplicity 1)
Co3 0.9961 0.1792 0.3226 (multiplicity 1)
O1 0.2374 0.8535 0.4347 (multiplicity 1)
O2 0.2401 0.5250 0.7424 (multiplicity 1)
O3 0.2507 0.3071 0.4263 (multiplicity 1)
O4 0.2572 0.9760 0.7337 (multiplicity 1)
O5 0.2634 0.1751 0.0992 (multiplicity 1)
O6 0.2735 0.6498 0.0850 (multiplicity 1)
O7 0.7213 0.0128 0.2681 (multiplicity 1)
O8 0.7431 0.1387 0.5799 (multiplicity 1)
O9 0.7435 0.4701 0.2511 (multiplicity 1)
O10 0.7444 0.3403 0.9071 (multiplicity 1)
O11 0.7504 0.6928 0.5828 (multiplicity 1)
O12 0.7652 0.8293 0.8939 (multiplicity 1)



# 3
Li7Mn2Co3O12: theoretical XRD peak list (Cu Kα (weighted mean of Kα1 and Kα2)), based on the PBE+U geometry in the Materials Project.

Main lines, in order of rising 2θ (2θ = 10–90°):
- 2θ 18.32, I 100
- 2θ 35.69, I 13
- 2θ 36.44, I 23
- 2θ 42.98, I 28
- 2θ 44.10, I 52
- 2θ 63.65, I 14

a b c (Å): 5.0127 5.0128 19.4865
angles (deg): 93.12 93.08 118.95
Space group P1 (No. 1)
Unique sites:
Li1 0.0000 0.0000 0.0000 (multiplicity 1)
Li2 0.0217 0.7036 0.1153 (multiplicity 1)
Li3 0.1222 0.1278 0.3874 (multiplicity 1)
Li4 0.2116 0.5286 0.6143 (multiplicity 1)
Li5 0.2759 0.9509 0.8865 (multiplicity 1)
Li6 0.3621 0.3670 0.1127 (multiplicity 1)
Li7 0.4475 0.7718 0.3868 (multiplicity 1)
Li8 0.4908 0.4921 0.5001 (multiplicity 1)
Li9 0.5409 0.2166 0.6136 (multiplicity 1)
Li10 0.6294 0.6202 0.8877 (multiplicity 1)
Li11 0.7177 0.0425 0.1135 (multiplicity 1)
Li12 0.7875 0.4695 0.3849 (multiplicity 1)
Li13 0.8710 0.8635 0.6126 (multiplicity 1)
Li14 0.9651 0.2809 0.8859 (multiplicity 1)
Mn1 0.0740 0.4168 0.2501 (multiplicity 1)
Mn2 0.4106 0.0803 0.2501 (multiplicity 1)
Mn3 0.5807 0.9117 0.7501 (multiplicity 1)
Mn4 0.9172 0.5752 0.7501 (multiplicity 1)
Co1 0.1670 0.8297 0.5001 (multiplicity 1)
Co2 0.2461 0.2464 0.7501 (multiplicity 1)
Co3 0.3287 0.6662 0.0001 (multiplicity 1)
Co4 0.6623 0.3237 0.0001 (multiplicity 1)
Co5 0.7449 0.7458 0.2501 (multiplicity 1)
Co6 0.8249 0.1629 0.5001 (multiplicity 1)
O1 0.0501 0.0576 0.1970 (multiplicity 1)
O2 0.0688 0.7369 0.3062 (multiplicity 1)
O3 0.1289 0.4933 0.4428 (multiplicity 1)
O4 0.1742 0.1515 0.5576 (multiplicity 1)
O5 0.2199 0.8886 0.6983 (multiplicity 1)
O6 0.2370 0.5705 0.8070 (multiplicity 1)
O7 0.3404 0.3170 0.9426 (multiplicity 1)
O8 0.3785 0.0339 0.0578 (multiplicity 1)
O9 0.3883 0.7188 0.1972 (multiplicity 1)
O10 0.4331 0.4409 0.3032 (multiplicity 1)
O11 0.4556 0.1115 0.4425 (multiplicity 1)
O12 0.5020 0.8604 0.5578 (multiplicity 1)
O13 0.5589 0.5516 0.6969 (multiplicity 1)
O14 0.6037 0.2726 0.8020 (multiplicity 1)
O15 0.6318 0.9901 0.9425 (multiplicity 1)
O16 0.6611 0.6564 0.0560 (multiplicity 1)
O17 0.7539 0.4218 0.1940 (multiplicity 1)
O18 0.7719 0.1026 0.3029 (multiplicity 1)
O19 0.8332 0.8294 0.4442 (multiplicity 1)
O20 0.8773 0.5230 0.5560 (multiplicity 1)
O21 0.9221 0.2554 0.6933 (multiplicity 1)
O22 0.9408 0.9337 0.8033 (multiplicity 1)
O23 0.9698 0.6148 0.9442 (multiplicity 1)
O24 0.9969 0.3611 0.0574 (multiplicity 1)



# 4
Li7Mn2Co3O12: theoretical XRD peak list (Cu Kα (weighted mean of Kα1 and Kα2)), based on the PBE+U geometry in the Materials Project.

Main lines, in order of rising 2θ (2θ = 10–90°):
- 2θ 18.29, I 100
- 2θ 35.63, I 28
- 2θ 42.96, I 59
- 2θ 44.39, I 25
- 2θ 63.30, I 14
- 2θ 63.67, I 14

a b c (Å): 15.1422 2.9562 10.1663
angles (deg): 90.00 107.38 90.00
Space group Cm (No. 8)
Unique sites:
Li1 0.0000 0.0000 0.0000 (multiplicity 2)
Li2 0.9995 0.5000 0.2260 (multiplicity 2)
Li3 0.1692 0.5000 0.4678 (multiplicity 2)
Li4 0.1739 0.5000 0.0020 (multiplicity 2)
Li5 0.3272 0.0000 0.4626 (multiplicity 2)
Li6 0.3393 0.0000 0.9954 (multiplicity 2)
Li7 0.4929 0.5000 0.4529 (multiplicity 2)
Mn1 0.1688 0.0000 0.7295 (multiplicity 2)
Mn2 0.4990 0.0000 0.7294 (multiplicity 2)
Co1 0.1621 0.0000 0.2304 (multiplicity 2)
Co2 0.3348 0.5000 0.7320 (multiplicity 2)
Co3 0.3417 0.5000 0.2323 (multiplicity 2)
O1 0.0766 0.0000 0.8332 (multiplicity 2)
O2 0.0895 0.5000 0.1131 (multiplicity 2)
O3 0.0921 0.5000 0.6239 (multiplicity 2)
O4 0.0948 0.0000 0.3445 (multiplicity 2)
O5 0.2350 0.5000 0.8426 (multiplicity 2)
O6 0.2452 0.0000 0.1225 (multiplicity 2)
O7 0.2482 0.0000 0.6184 (multiplicity 2)
O8 0.2506 0.5000 0.3436 (multiplicity 2)
O9 0.4055 0.5000 0.1063 (multiplicity 2)
O10 0.4140 0.0000 0.3509 (multiplicity 2)
O11 0.4217 0.0000 0.8436 (multiplicity 2)
O12 0.4325 0.5000 0.6184 (multiplicity 2)